Structure and theoretical powder XRD pattern of Li7Mn5O12 (a DFT-relaxed cell (GGA+U, the Materials Project); λ = 1.5418 Å (Cu Kα)).
Intensities are scaled so that the largest is 100.

Structure:
a b c (Å): 5.096 5.096 15.894
angles (deg): 97.46 97.46 32.87
Element x y z (fractional)
Li 0.000 0.000 0.000
Li 0.241 0.241 0.241
Li 0.250 0.250 0.583
Li 0.250 0.250 0.923
Li 0.750 0.750 0.077
Li 0.750 0.750 0.417
Li 0.759 0.759 0.759
Mn 0.007 0.007 0.673
Mn 0.487 0.487 0.154
Mn 0.500 0.500 0.500
Mn 0.513 0.513 0.846
Mn 0.993 0.993 0.327
O 0.107 0.107 0.128
O 0.116 0.116 0.463
O 0.120 0.120 0.801
O 0.380 0.380 0.367
O 0.382 0.382 0.052
O 0.396 0.396 0.714
O 0.604 0.604 0.286
O 0.618 0.618 0.948
O 0.620 0.620 0.633
O 0.880 0.880 0.199
O 0.884 0.884 0.537
O 0.893 0.893 0.872

Largest 10 diffraction maxima, sorted by position, 10 to 90 degrees two-theta:
2θ = 11.24°, 7.874 Å, I = 8; 2θ = 18.32°, 4.843 Å, I = 100; 2θ = 34.16°, 2.625 Å, I = 16; 2θ = 36.13°, 2.486 Å, I = 30; 2θ = 41.28°, 2.187 Å, I = 32; 2θ = 44.04°, 2.056 Å, I = 59; 2θ = 47.09°, 1.930 Å, I = 8; 2θ = 58.07°, 1.588 Å, I = 9; 2θ = 61.63°, 1.505 Å, I = 15; 2θ = 62.25°, 1.491 Å, I = 15

***

Structure and theoretical powder XRD pattern of GdFeO3 (a DFT-relaxed cell (GGA+U, the Materials Project); λ = 1.5418 Å (Cu Kα)).
Intensities are scaled so that the largest is 100.

Structure:
a b c (Å): 5.666 7.776 5.395
angles (deg): 90.00 90.00 90.00
Element x y z (fractional)
Gd 0.066 0.250 0.017
Gd 0.434 0.750 0.517
Gd 0.566 0.250 0.483
Gd 0.934 0.750 0.983
Fe 0.000 0.000 0.500
Fe 0.000 0.500 0.500
Fe 0.500 0.000 0.000
Fe 0.500 0.500 0.000
O 0.035 0.750 0.393
O 0.195 0.556 0.807
O 0.195 0.944 0.807
O 0.305 0.056 0.307
O 0.305 0.444 0.307
O 0.465 0.250 0.893
O 0.535 0.750 0.107
O 0.695 0.556 0.693
O 0.695 0.944 0.693
O 0.805 0.056 0.193
O 0.805 0.444 0.193
O 0.965 0.250 0.607

Largest 10 diffraction maxima, sorted by position, 10 to 90 degrees two-theta:
2θ = 22.76°, 3.907 Å, I = 18; 2θ = 25.51°, 3.491 Å, I = 20; 2θ = 31.58°, 2.833 Å, I = 19; 2θ = 32.49°, 2.756 Å, I = 100; 2θ = 33.21°, 2.697 Å, I = 25; 2θ = 33.67°, 2.662 Å, I = 13; 2θ = 46.48°, 1.954 Å, I = 18; 2θ = 46.73°, 1.944 Å, I = 14; 2θ = 52.66°, 1.738 Å, I = 22; 2θ = 58.88°, 1.568 Å, I = 22

***

Structure and theoretical powder XRD pattern of NaCo3O4 (a DFT-relaxed cell (GGA+U, the Materials Project); λ = 1.5418 Å (Cu Kα)).
Intensities are scaled so that the largest is 100.

Structure:
a b c (Å): 6.065 6.065 8.649
angles (deg): 90.00 90.00 90.00
Element x y z (fractional)
Na 0.000 0.244 0.000
Na 0.000 0.756 0.500
Na 0.244 0.000 0.750
Na 0.756 0.000 0.250
Co 0.000 0.261 0.500
Co 0.000 0.739 0.000
Co 0.249 0.500 0.750
Co 0.251 0.500 0.250
Co 0.261 0.000 0.250
Co 0.500 0.249 0.000
Co 0.500 0.251 0.500
Co 0.500 0.749 0.000
Co 0.500 0.751 0.500
Co 0.739 0.000 0.750
Co 0.749 0.500 0.750
Co 0.751 0.500 0.250
O 0.022 0.275 0.270
O 0.022 0.725 0.230
O 0.271 0.477 0.507
O 0.271 0.523 0.993
O 0.275 0.022 0.480
O 0.275 0.978 0.020
O 0.477 0.271 0.243
O 0.477 0.729 0.257
O 0.523 0.271 0.757
O 0.523 0.729 0.743
O 0.725 0.022 0.520
O 0.725 0.978 0.980
O 0.729 0.477 0.493
O 0.729 0.523 0.007
O 0.978 0.275 0.730
O 0.978 0.725 0.770

Largest 10 diffraction maxima, sorted by position, 10 to 90 degrees two-theta:
2θ = 14.60°, 6.065 Å, I = 14; 2θ = 17.86°, 4.966 Å, I = 17; 2θ = 36.18°, 2.483 Å, I = 96; 2θ = 41.78°, 2.162 Å, I = 52; 2θ = 42.14°, 2.144 Å, I = 100; 2θ = 60.84°, 1.523 Å, I = 57; 2θ = 61.12°, 1.516 Å, I = 28; 2θ = 72.62°, 1.302 Å, I = 14; 2θ = 73.13°, 1.294 Å, I = 26; 2θ = 76.78°, 1.241 Å, I = 25

***

Structure and theoretical powder XRD pattern of Li2Cr3FeO8 (a DFT-relaxed cell (GGA+U, the Materials Project); λ = 1.5418 Å (Cu Kα)).
Intensities are scaled so that the largest is 100.

Structure:
a b c (Å): 5.172 7.605 7.674
angles (deg): 81.69 84.85 70.58
Element x y z (fractional)
Li 0.000 0.000 0.000
Li 0.001 0.256 0.243
Li 0.994 0.506 0.504
Li 0.996 0.761 0.746
Cr 0.481 0.821 0.562
Cr 0.482 0.084 0.812
Cr 0.482 0.569 0.312
Cr 0.513 0.193 0.434
Cr 0.513 0.679 0.933
Cr 0.514 0.942 0.184
Fe 0.486 0.319 0.059
Fe 0.509 0.442 0.688
O 0.276 0.158 0.033
O 0.276 0.650 0.535
O 0.280 0.402 0.274
O 0.285 0.901 0.784
O 0.293 0.525 0.894
O 0.299 0.294 0.641
O 0.304 0.034 0.394
O 0.310 0.779 0.143
O 0.685 0.983 0.603
O 0.691 0.728 0.353
O 0.695 0.469 0.105
O 0.702 0.237 0.852
O 0.710 0.862 0.962
O 0.715 0.360 0.471
O 0.718 0.604 0.713
O 0.719 0.112 0.211

Largest 10 diffraction maxima, sorted by position, 10 to 90 degrees two-theta:
2θ = 18.21°, 4.873 Å, I = 100; 2θ = 36.22°, 2.480 Å, I = 10; 2θ = 36.50°, 2.462 Å, I = 10; 2θ = 36.67°, 2.451 Å, I = 11; 2θ = 43.46°, 2.082 Å, I = 18; 2θ = 43.68°, 2.072 Å, I = 18; 2θ = 44.49°, 2.036 Å, I = 18; 2θ = 56.99°, 1.616 Å, I = 6; 2θ = 64.32°, 1.448 Å, I = 5; 2θ = 64.50°, 1.445 Å, I = 5